[1]
# Pu3GaCu3
Computed X-ray powder pattern, Cu Kα (weighted mean of Kα1 and Kα2). Input: a crystal structure in Alexandria, relaxed with PBE.
Intensities are scaled so that the largest is 100.

Atomic structure:
Lattice parameters (Å, degrees): 4.2119 10.3530 13.0028 90.00 90.00 90.00
Space group Cmcm (No. 63)
Unique sites:
Pu (0.0000, 0.0149, 0.2500) x4
Pu (0.0000, 0.2795, 0.6034) x8
Ga (0.0000, 0.0000, 0.0000) x4
Cu (0.0000, 0.3073, 0.2500) x4
Cu (0.0000, 0.4333, 0.0899) x8

Largest 10 diffraction maxima, low angle first, 2θ = 10–80°:
| index | 2θ/deg | I/Imax |
| --- | --- | --- |
| 1 1 3 | 30.8 | 100.0 |
| 0 2 4 | 32.5 | 66.3 |
| 1 3 0 | 33.6 | 60.8 |
| 1 3 1 | 34.3 | 42.7 |
| 0 4 0 | 34.7 | 35.1 |
| 1 1 4 | 36.0 | 60.9 |
| 1 3 3 | 39.7 | 53.7 |
| 0 4 3 | 40.6 | 39.1 |
| 2 0 0 | 42.9 | 47.4 |
| 2 2 4 | 54.9 | 31.8 |

[2]
# Pu4Ga3Cu
Computed X-ray powder pattern, Cu Kα (weighted mean of Kα1 and Kα2). Input: a crystal structure in Alexandria, relaxed with PBE.
Intensities are scaled so that the largest is 100.

Atomic structure:
Lattice parameters (Å, degrees): 3.0359 5.3967 10.7924 90.00 90.00 90.00
Space group Pmmm (No. 47)
Unique sites:
Pu (0.0000, 0.0000, 0.0000) x1
Pu (0.0000, 0.0000, 0.5000) x1
Pu (0.0000, 0.5000, 0.2418) x2
Ga (0.5000, 0.0000, 0.2510) x2
Ga (0.5000, 0.5000, 0.5000) x1
Cu (0.5000, 0.5000, 0.0000) x1

Largest 10 diffraction maxima, low angle first, 2θ = 10–80°:
| index | 2θ/deg | I/Imax |
| --- | --- | --- |
| 0 1 2 | 23.3 | 46.3 |
| 1 0 0 | 29.4 | 13.3 |
| 0 2 0 | 33.2 | 70.7 |
| 1 1 2 | 37.9 | 100.0 |
| 1 2 0 | 44.9 | 17.4 |
| 0 2 4 | 47.7 | 25.9 |
| 0 3 2 | 53.7 | 10.4 |
| 1 3 2 | 62.4 | 46.4 |
| 2 2 0 | 71.3 | 15.9 |
| 0 4 4 | 79.4 | 11.5 |

[3]
# Ga2CuRe
Computed X-ray powder pattern, Cu Kα (weighted mean of Kα1 and Kα2). Input: a crystal structure in Alexandria, relaxed with PBE.
Intensities are scaled so that the largest is 100.

Atomic structure:
Lattice parameters (Å, degrees): 4.1934 4.1934 3.2238 90.00 90.00 90.00
Space group P4/mmm (No. 123)
Unique sites:
Ga (0.0000, 0.5000, 0.0000) x2
Cu (0.0000, 0.0000, 0.5000) x1
Re (0.5000, 0.5000, 0.5000) x1

Largest 10 diffraction maxima, low angle first, 2θ = 10–80°:
| index | 2θ/deg | I/Imax |
| --- | --- | --- |
| 1 0 0 | 21.2 | 22.4 |
| 1 1 0 | 30.1 | 8.2 |
| 1 0 1 | 35.1 | 12.8 |
| 1 1 1 | 41.4 | 100.0 |
| 2 0 0 | 43.1 | 44.3 |
| 2 1 1 | 56.8 | 6.9 |
| 0 0 2 | 57.1 | 9.5 |
| 2 2 0 | 62.7 | 14.3 |
| 2 0 2 | 74.2 | 17.2 |
| 3 1 1 | 77.9 | 30.1 |

[4]
# Ga2Cu2Rh3
Computed X-ray powder pattern, Cu Kα (weighted mean of Kα1 and Kα2). Input: a crystal structure in Alexandria, relaxed with PBE.
Intensities are scaled so that the largest is 100.

Atomic structure:
Lattice parameters (Å, degrees): 4.2130 4.2181 7.1246 106.31 90.85 119.90
Space group P-1 (No. 2)
Unique sites:
Ga (0.1098, 0.2282, 0.3375) x2
Cu (0.3626, 0.7438, 0.1042) x2
Rh (0.2494, 0.4870, 0.7372) x2
Rh (0.5000, 0.0000, 0.5000) x1

Largest 10 diffraction maxima, low angle first, 2θ = 10–80°:
| index | 2θ/deg | I/Imax |
| --- | --- | --- |
| 0 0 1 | 13.2 | 14.6 |
| 0 1 -3 | 40.0 | 12.3 |
| 1 1 -1 | 42.9 | 100.0 |
| 0 1 2 | 43.4 | 56.4 |
| 1 -1 3 | 44.1 | 26.3 |
| -2 2 2 | 62.3 | 9.4 |
| 2 0 2 | 63.1 | 17.3 |
| 0 3 -2 | 78.5 | 9.9 |
| 3 0 -1 | 78.6 | 15.0 |
| 3 -2 3 | 79.9 | 8.9 |